# Mg2Cr5P6O24
Calculated powder diffractogram, Cu Kα, 1.54184 Å. Input: a PBE+U-relaxed structure.

Structural model:
```
data_Mg2Cr5P6O24
_symmetry_space_group_name_H-M 'P 1'
_symmetry_Int_Tables_number 1
_cell_length_a 6.3652
_cell_length_b 8.0003
_cell_length_c 9.4442
_cell_angle_alpha 105.52
_cell_angle_beta 107.56
_cell_angle_gamma 101.52
loop_
_symmetry_equiv_pos_as_xyz
'x,y,z'
loop_
_atom_site_label
_atom_site_type_symbol
_atom_site_fract_x
_atom_site_fract_y
_atom_site_fract_z
Mg1 Mg 0.2165 0.1986 0.2047
Mg2 Mg 0.7835 0.8014 0.7953
Cr1 Cr 0.1200 0.5450 0.3916
Cr2 Cr 0.4553 0.2856 0.9766
Cr3 Cr 0.5000 0.0000 0.5000
Cr4 Cr 0.5447 0.7144 0.0234
Cr5 Cr 0.8800 0.4550 0.6084
P1 P 0.1010 0.7677 0.1310
P2 P 0.2754 0.8499 0.7368
P3 P 0.4020 0.4016 0.6657
P4 P 0.5980 0.5984 0.3343
P5 P 0.7246 0.1501 0.2632
P6 P 0.8990 0.2323 0.8690
O1 O 0.0431 0.7321 0.7316
O2 O 0.0555 0.6463 0.2260
O3 O 0.1385 0.2504 0.9968
O4 O 0.1848 0.4559 0.5801
O5 O 0.2144 0.9681 0.2439
O6 O 0.2441 0.7055 0.0347
O7 O 0.2806 0.8006 0.5647
O8 O 0.2969 0.0496 0.8023
O9 O 0.3744 0.2060 0.5827
O10 O 0.3825 0.4700 0.3408
O11 O 0.4243 0.4489 0.8429
O12 O 0.4832 0.8047 0.8412
O13 O 0.5168 0.1953 0.1588
O14 O 0.5757 0.5511 0.1571
O15 O 0.6175 0.5300 0.6592
O16 O 0.6256 0.7940 0.4173
O17 O 0.7031 0.9504 0.1977
O18 O 0.7194 0.1994 0.4353
O19 O 0.7559 0.2945 0.9653
O20 O 0.7856 0.0319 0.7561
O21 O 0.8152 0.5441 0.4199
O22 O 0.8615 0.7496 0.0032
O23 O 0.9445 0.3537 0.7740
O24 O 0.9569 0.2679 0.2684
```

Most intense lines, 2θ from 10° to 90°, low angle first:
- (0 1 0), 2θ 12.06, intensity 20
- (1 0 0), 2θ 15.33, intensity 11
- (-1 1 1), 2θ 18.62, intensity 15
- (1 -1 1), 2θ 20.30, intensity 21
- (0 2 -1), 2θ 22.78, intensity 11
- (2 0 -1), 2θ 28.64, intensity 23
- (2 -1 0), 2θ 29.56, intensity 17
- (0 2 1), 2θ 29.77, intensity 100
- (1 -2 2), 2θ 30.60, intensity 20
- (-2 1 2), 2θ 31.86, intensity 11
- (2 1 -2), 2θ 33.40, intensity 15
- (0 3 -4), 2θ 45.92, intensity 10